No. 1
Starting from a PBE-relaxed structure, the powder diffractogram of NdHoTm was computed for Cu Kα (weighted mean of Kα1 and Kα2).
No peak broadening, texture or thermal motion is included.

Cell and atoms:
a = 10.2829 Å, b = 10.2829 Å, c = 5.4038 Å
α = 90.00°, β = 90.00°, γ = 160.26°
Positions (direct):
1 Nd 0.2059 0.7941 0.7500
2 Nd 0.7941 0.2059 0.2500
3 Ho 0.3875 0.6125 0.7500
4 Ho 0.6125 0.3875 0.2500
5 Tm 0.0406 0.9594 0.7500
6 Tm 0.9594 0.0406 0.2500

Top 12 peaks for 2θ from 10° to 90°, low angle first:
| 2θ/deg | I (rel.) |
| --- | --- |
| 30.59 | 83 |
| 31.23 | 100 |
| 33.14 | 67 |
| 33.69 | 46 |
| 47.99 | 39 |
| 51.86 | 13 |
| 57.65 | 14 |
| 58.03 | 18 |
| 59.13 | 25 |
| 61.79 | 29 |
| 62.95 | 15 |
| 81.55 | 13 |


No. 2
Starting from a PBE-relaxed structure, the powder diffractogram of Pm3Pu2Pb6 was computed for Cu Kα (weighted mean of Kα1 and Kα2).
No peak broadening, texture or thermal motion is included.

Cell and atoms:
a = 11.7692 Å, b = 11.7692 Å, c = 11.7692 Å
α = 150.80°, β = 150.80°, γ = 41.76°
Positions (direct):
1 Pm 0.0000 0.0000 0.0000
2 Pm 0.1550 0.1550 0.0000
3 Pm 0.8450 0.8450 0.0000
4 Pu 0.4359 0.4359 0.0000
5 Pu 0.5641 0.5641 0.0000
6 Pb 0.0854 0.5854 0.5000
7 Pb 0.2989 0.2989 0.0000
8 Pb 0.4146 0.9146 0.5000
9 Pb 0.5854 0.0854 0.5000
10 Pb 0.7011 0.7011 0.0000
11 Pb 0.9146 0.4146 0.5000

Top 12 peaks for 2θ from 10° to 90°, low angle first:
| 2θ/deg | I (rel.) |
| --- | --- |
| 21.18 | 13 |
| 26.73 | 14 |
| 30.13 | 100 |
| 32.24 | 52 |
| 32.44 | 36 |
| 43.13 | 38 |
| 44.71 | 43 |
| 44.96 | 14 |
| 55.01 | 24 |
| 62.63 | 13 |
| 63.86 | 15 |
| 71.06 | 18 |